# Rb2InHg2Br4
Simulated XRD peak list, copper Kα. Input: the PBE geometry in Alexandria.
Lines closer than 0.1° are merged.

```
data_Rb2InHg2Br4
_chemical_formula_sum 'Rb4 In2 Hg4 Br8'
_space_group_name_H-M_alt 'I 4/m m m'
_space_group_IT_number 139
_space_group_name_Hall '-I 4 2'
_cell_length_a 8.5089
_cell_length_b 8.5089
_cell_length_c 8.6887
_cell_angle_alpha 90.00
_cell_angle_beta 90.00
_cell_angle_gamma 90.00
loop_
_atom_site_label
_atom_site_fract_x
_atom_site_fract_y
_atom_site_fract_z
Rb1 0.0000 0.5000 0.2500
In1 0.0000 0.0000 0.0000
Hg1 0.0000 0.0000 0.3304
Br1 0.2421 0.2421 0.0000
```

Peak list (10 most intense, 2θ = 5–70°, in order of falling intensity)
3.008 Å, I 100; 3.040 Å, I 71; 6.017 Å, I 57; 2.305 Å, I 47; 2.742 Å, I 43; 2.127 Å, I 37; 1.829 Å, I 30; 4.254 Å, I 29; 1.743 Å, I 27; 1.681 Å, I 20

=====

# Pm5Nd2Dy6
Simulated XRD peak list, copper Kα. Input: the PBE geometry in Alexandria.
Lines closer than 0.1° are merged.

```
data_Pm5Nd2Dy6
_chemical_formula_sum 'Pm10 Nd4 Dy12'
_space_group_name_H-M_alt 'P b a m'
_space_group_IT_number 55
_cell_length_a 11.7689
_cell_length_b 20.5792
_cell_length_c 3.6115
_cell_angle_alpha 90.00
_cell_angle_beta 90.00
_cell_angle_gamma 90.00
loop_
_space_group_symop_operation_xyz
'x,y,z'
'-x,-y,-z'
'-x,-y,z'
'x,y,-z'
'x+1/2,-y+1/2,-z'
'-x+1/2,y+1/2,z'
'-x+1/2,y+1/2,-z'
'x+1/2,-y+1/2,z'
loop_
_atom_site_label
_atom_site_fract_x
_atom_site_fract_y
_atom_site_fract_z
Pm1 0.0000 0.0000 0.0000
Pm2 0.0866 0.2783 0.0000
Pm3 0.2004 0.5521 0.0000
Nd1 0.1722 0.7166 0.5000
Dy1 0.0607 0.4226 0.5000
Dy2 0.0768 0.1345 0.5000
Dy3 0.1798 0.8703 0.0000
```

Peak list (10 most intense, 2θ = 5–70°, in order of falling intensity)
2.808 Å, I 100; 2.852 Å, I 68; 2.913 Å, I 66; 2.867 Å, I 49; 2.641 Å, I 42; 2.478 Å, I 31; 1.525 Å, I 27; 2.582 Å, I 26; 1.806 Å, I 23; 1.535 Å, I 20

=====

# Ca2PuTl4
Simulated XRD peak list, copper Kα. Input: the PBE geometry in Alexandria.
Lines closer than 0.1° are merged.

```
data_Ca2PuTl4
_chemical_formula_sum 'Ca2 Pu1 Tl4'
_space_group_name_H-M_alt 'P 4/m m m'
_space_group_IT_number 123
_space_group_name_Hall '-P 4 2'
_cell_length_a 5.4446
_cell_length_b 5.4446
_cell_length_c 7.4325
_cell_angle_alpha 90.00
_cell_angle_beta 90.00
_cell_angle_gamma 90.00
loop_
_atom_site_label
_atom_site_fract_x
_atom_site_fract_y
_atom_site_fract_z
Ca1 0.0000 0.0000 0.0000
Ca2 0.5000 0.5000 0.5000
Pu1 0.0000 0.0000 0.5000
Tl1 0.0000 0.5000 0.2404
```

Peak list (10 most intense, 2θ = 5–70°, in order of falling intensity)
2.674 Å, I 100; 2.722 Å, I 53; 1.562 Å, I 40; 3.850 Å, I 23; 1.925 Å, I 20; 1.535 Å, I 18; 5.445 Å, I 12; 3.419 Å, I 12; 2.196 Å, I 11; 3.716 Å, I 10

=====

# Re2IrW
Simulated XRD peak list, copper Kα. Input: the PBE geometry in Alexandria.
Lines closer than 0.1° are merged.

```
data_Re2IrW
_chemical_formula_sum 'Re2 Ir1 W1'
_space_group_name_H-M_alt 'P 4 m m'
_space_group_IT_number 99
_cell_length_a 2.7757
_cell_length_b 2.7757
_cell_length_c 7.8634
_cell_angle_alpha 90.00
_cell_angle_beta 90.00
_cell_angle_gamma 90.00
loop_
_space_group_symop_operation_xyz
'x,y,z'
'-y,x,z'
'-x,-y,z'
'y,-x,z'
'-x,y,z'
'y,x,z'
'x,-y,z'
'-y,-x,z'
loop_
_atom_site_label
_atom_site_fract_x
_atom_site_fract_y
_atom_site_fract_z
Re1 0.0000 0.0000 0.0000
Re2 0.5000 0.5000 0.2388
Ir1 0.5000 0.5000 0.7470
W1 0.0000 0.0000 0.4971
```

Peak list (3 most intense, 2θ = 5–70°, in order of falling intensity)
2.268 Å, I 100; 1.964 Å, I 49; 1.389 Å, I 32